Diffraction record for EuGa2Se4. The PXRD pattern is calculated, not measured: it uses a DFT-relaxed cell (PBE, the Materials Project) and λ = 1.5418 Å (Cu Kα).
Intensities are scaled so that the largest is 1000.

Principal peaks in the range 2θ from 15° to 90°, sorted by position:
two_theta	I/Imax
16.1	475
22.8	447
29.1	463
29.3	462
32.3	242
32.6	231
36.4	1000
50.2	210
50.4	204
55.3	259

Structure:
Lattice parameters (Å, degrees): 6.370 10.972 11.080 90.00 90.00 90.00
Space group Cccm (No. 66)
Asymmetric unit:
Eu (0.000, 0.000, 0.250) [4 per cell]
Ga (0.001, 0.261, 0.000) [8 per cell]
Se (0.231, 0.080, 0.500) [8 per cell]
Se (0.250, 0.250, 0.169) [8 per cell]

Diffraction record for Ca2SnS4. The PXRD pattern is calculated, not measured: it uses a DFT-relaxed cell (PBE, the Materials Project) and λ = 1.5418 Å (Cu Kα).
Intensities are scaled so that the largest is 1000.

Principal peaks in the range 2θ from 15° to 90°, sorted by position:
two_theta	I/Imax
23.5	1000
25.0	754
26.5	411
26.8	376
28.3	446
32.1	704
40.4	498
42.5	426
43.1	831
49.9	362

Structure:
Lattice parameters (Å, degrees): 9.956 10.228 8.926 90.00 90.00 90.00
Space group Pbam (No. 55)
Asymmetric unit:
Ca (0.141, 0.200, 0.000) [4 per cell]
Ca (0.196, 0.853, 0.500) [4 per cell]
Sn (0.000, 0.500, 0.250) [4 per cell]
S (0.096, 0.638, 0.000) [4 per cell]
S (0.144, 0.592, 0.500) [4 per cell]
S (0.174, 0.329, 0.249) [8 per cell]

Diffraction record for Ce2Ga9Ru3. The PXRD pattern is calculated, not measured: it uses a DFT-relaxed cell (PBE, the Materials Project) and λ = 1.5418 Å (Cu Kα).
Intensities are scaled so that the largest is 1000.

Principal peaks in the range 2θ from 15° to 90°, sorted by position:
two_theta	I/Imax
29.9	112
36.5	1000
37.1	254
37.3	137
41.0	600
41.2	293
44.3	137
56.5	114
62.5	136
72.1	110

Structure:
Lattice parameters (Å, degrees): 13.132 7.643 9.692 90.00 90.00 90.00
Space group Cmcm (No. 63)
Asymmetric unit:
Ce (0.164, 0.167, 0.250) [8 per cell]
Ga (0.000, 0.126, 0.750) [4 per cell]
Ga (0.000, 0.337, 0.057) [8 per cell]
Ga (0.106, 0.441, 0.750) [8 per cell]
Ga (0.165, 0.170, 0.574) [16 per cell]
Ru (0.000, 0.000, 0.000) [4 per cell]
Ru (0.172, 0.500, 0.000) [8 per cell]

- Number 2 is which compound?
  Ca2SnS4

Repeat the first record exactly.
Diffraction record for EuGa2Se4. The PXRD pattern is calculated, not measured: it uses a DFT-relaxed cell (PBE, the Materials Project) and λ = 1.5418 Å (Cu Kα).
Intensities are scaled so that the largest is 1000.

Principal peaks in the range 2θ from 15° to 90°, sorted by position:
two_theta	I/Imax
16.1	475
22.8	447
29.1	463
29.3	462
32.3	242
32.6	231
36.4	1000
50.2	210
50.4	204
55.3	259

Structure:
Lattice parameters (Å, degrees): 6.370 10.972 11.080 90.00 90.00 90.00
Space group Cccm (No. 66)
Asymmetric unit:
Eu (0.000, 0.000, 0.250) [4 per cell]
Ga (0.001, 0.261, 0.000) [8 per cell]
Se (0.231, 0.080, 0.500) [8 per cell]
Se (0.250, 0.250, 0.169) [8 per cell]

Copy entry 2 word for word.
Diffraction record for Ca2SnS4. The PXRD pattern is calculated, not measured: it uses a DFT-relaxed cell (PBE, the Materials Project) and λ = 1.5418 Å (Cu Kα).
Intensities are scaled so that the largest is 1000.

Principal peaks in the range 2θ from 15° to 90°, sorted by position:
two_theta	I/Imax
23.5	1000
25.0	754
26.5	411
26.8	376
28.3	446
32.1	704
40.4	498
42.5	426
43.1	831
49.9	362

Structure:
Lattice parameters (Å, degrees): 9.956 10.228 8.926 90.00 90.00 90.00
Space group Pbam (No. 55)
Asymmetric unit:
Ca (0.141, 0.200, 0.000) [4 per cell]
Ca (0.196, 0.853, 0.500) [4 per cell]
Sn (0.000, 0.500, 0.250) [4 per cell]
S (0.096, 0.638, 0.000) [4 per cell]
S (0.144, 0.592, 0.500) [4 per cell]
S (0.174, 0.329, 0.249) [8 per cell]